Starting from the GGA+U geometry in Alexandria, the powder XRD pattern of SrNd2MnO5 was simulated for Cu Kα (weighted mean of Kα1 and Kα2).

Peak list (6 most intense, 2θ from 10° to 90°, in order of falling intensity)
Position (°2θ), Rel. int., index
30.7, 100, 2 0 1
33.5, 85, 2 1 1
43.4, 60, 2 1 2
31.1, 42, 0 0 2
15.4, 37, 0 0 1
29.5, 32, 2 1 0

```
data_SrNd2MnO5
_cell_length_a 6.762
_cell_length_b 6.762
_cell_length_c 5.760
_cell_angle_alpha 90.00
_cell_angle_beta 90.00
_cell_angle_gamma 90.00
_space_group_name_H-M_alt 'P 4/m b m'
_space_group_IT_number 127
_space_group_name_Hall '-P 4 2ab'
loop_
_atom_site_label
_atom_site_type_symbol
_atom_site_fract_x
_atom_site_fract_y
_atom_site_fract_z
Sr1 Sr 0.000 0.000 0.000
Nd1 Nd 0.173 0.327 0.500
Mn1 Mn 0.000 0.500 0.000
O1 O 0.000 0.000 0.500
O2 O 0.138 0.638 0.240
```